Computed X-ray powder pattern of La11InCo5 for a wavelength of 1.5418 Å, from DFT lattice parameters and positions (GGA-PBE).

Atomic structure:
abc: 8.8168 8.8168 6.9543
angles: 104.27 104.27 102.00
Atoms (fractional coordinates):
La1 0.0000 0.0000 0.0000
La2 0.1459 0.6810 0.1929
La3 0.1691 0.4138 0.5631
La4 0.3190 0.8541 0.8071
La5 0.3455 0.3455 0.1238
La6 0.4138 0.1691 0.5631
La7 0.5862 0.8309 0.4369
La8 0.6545 0.6545 0.8762
La9 0.6810 0.1459 0.1929
La10 0.8309 0.5862 0.4369
La11 0.8541 0.3190 0.8071
In1 0.0000 0.0000 0.5000
Co1 0.0020 0.6495 0.8147
Co2 0.3505 0.9980 0.1853
Co3 0.5000 0.5000 0.5000
Co4 0.6495 0.0020 0.8147
Co5 0.9980 0.3505 0.1853

Most intense lines, 2θ from 15° to 90°, sorted by position:
- 26.3 deg, I = 16.3
- 26.5 deg, I = 40.6
- 27.0 deg, I = 24.2
- 29.6 deg, I = 39.6
- 30.8 deg, I = 31.5
- 31.3 deg, I = 24.2
- 31.5 deg, I = 100.0
- 32.3 deg, I = 32.2
- 44.5 deg, I = 15.8
- 48.1 deg, I = 15.9



Computed X-ray powder pattern of La6In2CoPd for a wavelength of 1.5418 Å, from DFT lattice parameters and positions (GGA-PBE).

Atomic structure:
abc: 7.4998 7.5858 7.7130
angles: 118.24 117.91 90.23
Atoms (fractional coordinates):
La1 0.1541 0.1810 0.4561
La2 0.2604 0.7169 0.9984
La3 0.3026 0.6770 0.5068
La4 0.6974 0.3230 0.4932
La5 0.7396 0.2831 0.0016
La6 0.8459 0.8190 0.5439
In1 0.2473 0.2513 0.0044
In2 0.7527 0.7487 0.9956
Co1 0.0000 0.5000 0.5000
Pd1 0.5000 0.0000 0.5000

Most intense lines, 2θ from 15° to 90°, sorted by position:
- 27.5 deg, I = 41.4
- 27.7 deg, I = 36.6
- 27.9 deg, I = 45.8
- 28.1 deg, I = 38.9
- 28.5 deg, I = 46.8
- 28.7 deg, I = 53.4
- 31.1 deg, I = 100.0
- 33.5 deg, I = 46.8
- 33.7 deg, I = 51.0
- 46.4 deg, I = 34.3



Computed X-ray powder pattern of La3InCoS7 for a wavelength of 1.5418 Å, from DFT lattice parameters and positions (GGA-PBE).

Atomic structure:
abc: 10.0827 10.0827 6.3779
angles: 90.00 90.00 120.00
Atoms (fractional coordinates):
La1 0.1520 0.3708 0.0000
La2 0.2188 0.8480 0.0000
La3 0.3708 0.2188 0.5000
La4 0.6292 0.7812 0.0000
La5 0.7812 0.1520 0.5000
La6 0.8480 0.6292 0.5000
In1 0.3333 0.6667 0.5714
In2 0.6667 0.3333 0.0714
Co1 0.0000 0.0000 0.1542
Co2 0.0000 0.0000 0.6542
S1 0.0789 0.5655 0.7374
S2 0.0879 0.2090 0.4022
S3 0.1211 0.9121 0.4022
S4 0.2090 0.1211 0.9022
S5 0.3333 0.6667 0.1921
S6 0.4345 0.5134 0.7374
S7 0.4866 0.9211 0.7374
S8 0.5134 0.0789 0.2374
S9 0.5655 0.4866 0.2374
S10 0.6667 0.3333 0.6921
S11 0.7910 0.8789 0.4022
S12 0.8789 0.0879 0.9022
S13 0.9121 0.7910 0.9022
S14 0.9211 0.4345 0.2374

Most intense lines, 2θ from 15° to 90°, sorted by position:
- 24.7 deg, I = 100.0
- 33.9 deg, I = 19.4
- 34.8 deg, I = 28.8
- 35.6 deg, I = 38.4
- 39.3 deg, I = 15.1
- 39.8 deg, I = 13.5
- 43.8 deg, I = 20.1
- 45.9 deg, I = 15.9
- 47.6 deg, I = 27.0
- 57.7 deg, I = 14.0



Computed X-ray powder pattern of LaInCoSi2 for a wavelength of 1.5418 Å, from DFT lattice parameters and positions (GGA-PBE).

Atomic structure:
abc: 4.5887 4.5887 4.9837
angles: 90.00 90.00 90.00
Atoms (fractional coordinates):
La1 0.0000 0.0000 0.0000
In1 0.5000 0.5000 0.0000
Co1 0.0000 0.0000 0.5000
Si1 0.0000 0.5000 0.5000
Si2 0.5000 0.0000 0.5000

Most intense lines, 2θ from 15° to 90°, sorted by position:
- 17.8 deg, I = 30.2
- 27.5 deg, I = 86.0
- 32.9 deg, I = 100.0
- 36.0 deg, I = 44.0
- 39.3 deg, I = 69.0
- 45.9 deg, I = 42.4
- 54.4 deg, I = 52.1
- 56.7 deg, I = 22.8
- 67.2 deg, I = 25.1
- 69.1 deg, I = 24.9